Record 1
This entry pairs a crystal structure of Nd2Ho5Tm5 with its theoretical XRD peak list. Radiation: a wavelength of 1.5418 Å. Structure: a structure optimized by DFT (GGA-PBE).

Largest 8 diffraction maxima, sorted by position, 2θ from 10° to 90°:
| 2θ (°) | intensity | (hkl) |
| --- | --- | --- |
| 31.0 | 100 | 3 1 1 |
| 35.9 | 51 | 0 2 0 |
| 51.7 | 36 | 6 0 2 |
| 61.5 | 43 | 3 3 1 |
| 64.6 | 12 | 6 2 2 |
| 76.2 | 6 | 0 4 0 |
| 84.5 | 18 | 3 3 5 |
| 87.2 | 17 | 0 4 4 |

Structural model:
```
data_Nd2Ho5Tm5
_chemical_formula_sum 'Nd4 Ho10 Tm10'
_symmetry_space_group_name_H-M 'C 1 2/m 1'
_symmetry_Int_Tables_number 12
_cell_length_a 14.9998
_cell_length_b 4.9961
_cell_length_c 11.1756
_cell_angle_alpha 90.00
_cell_angle_beta 116.55
_cell_angle_gamma 90.00
loop_
_symmetry_equiv_pos_as_xyz
'x,y,z'
'-x,-y,-z'
'-x,y,-z'
'x,-y,z'
'x+1/2,y+1/2,z'
'-x+1/2,-y+1/2,-z'
'-x+1/2,y+1/2,-z'
'x+1/2,-y+1/2,z'
loop_
_atom_site_label
_atom_site_type_symbol
_atom_site_fract_x
_atom_site_fract_y
_atom_site_fract_z
Nd1 Nd 0.0830 0.0000 0.2488
Ho1 Ho 0.0000 0.5000 0.0000
Ho2 Ho 0.0848 0.5000 0.7505
Ho3 Ho 0.1662 0.5000 0.5001
Tm1 Tm 0.0000 0.0000 0.5000
Tm2 Tm 0.1681 0.0000 0.0001
Tm3 Tm 0.2486 0.0000 0.7498
```

Record 2
This entry pairs a crystal structure of Nd3Ho2Tm7 with its theoretical XRD peak list. Radiation: a wavelength of 1.5418 Å. Structure: a structure optimized by DFT (GGA-PBE).

Largest 10 diffraction maxima, sorted by position, 2θ from 10° to 90°:
| 2θ (°) | intensity | (hkl) |
| --- | --- | --- |
| 29.9 | 29 | 1 1 1 |
| 31.0 | 100 | 0 0 6 |
| 31.5 | 58 | 1 1 2 |
| 34.1 | 36 | 2 0 3 |
| 35.0 | 41 | 1 1 -4 |
| 38.2 | 16 | 1 1 -5 |
| 50.7 | 20 | 3 1 -1 |
| 52.2 | 13 | 0 2 0 |
| 53.1 | 23 | 2 0 -9 |
| 61.9 | 28 | 0 2 6 |

Structural model:
```
data_Nd3Ho2Tm7
_chemical_formula_sum 'Nd3 Ho2 Tm7'
_symmetry_space_group_name_H-M 'P 1 2/m 1'
_symmetry_Int_Tables_number 10
_cell_length_a 6.2948
_cell_length_b 3.5073
_cell_length_c 17.4078
_cell_angle_alpha 90.00
_cell_angle_beta 96.33
_cell_angle_gamma 90.00
loop_
_symmetry_equiv_pos_as_xyz
'x,y,z'
'-x,-y,-z'
'-x,y,-z'
'x,-y,z'
loop_
_atom_site_label
_atom_site_type_symbol
_atom_site_fract_x
_atom_site_fract_y
_atom_site_fract_z
Nd1 Nd 0.0000 0.0000 0.0000
Nd2 Nd 0.0473 0.5000 0.6581
Ho1 Ho 0.4437 0.0000 0.3254
Tm1 Tm 0.2295 0.5000 0.1652
Tm2 Tm 0.2476 0.0000 0.5002
Tm3 Tm 0.2767 0.0000 0.8345
Tm4 Tm 0.5000 0.5000 0.0000
```

Record 3
This entry pairs a crystal structure of NdHo3Tm12 with its theoretical XRD peak list. Radiation: a wavelength of 1.5418 Å. Structure: a structure optimized by DFT (GGA-PBE).

Largest 8 diffraction maxima, sorted by position, 2θ from 10° to 90°:
| 2θ (°) | intensity | (hkl) |
| --- | --- | --- |
| 31.3 | 100 | 1 1 4 |
| 36.2 | 51 | 2 0 0 |
| 52.2 | 36 | 2 2 0 |
| 62.1 | 43 | 3 1 4 |
| 65.2 | 12 | 2 2 8 |
| 76.9 | 6 | 4 0 0 |
| 85.3 | 18 | 3 3 4 |
| 88.1 | 17 | 4 2 0 |

Structural model:
```
data_NdHo3Tm12
_chemical_formula_sum 'Nd1 Ho3 Tm12'
_symmetry_space_group_name_H-M 'P 4/m m m'
_symmetry_Int_Tables_number 123
_symmetry_space_group_name_Hall '-P 4 2'
_cell_length_a 4.9568
_cell_length_b 4.9568
_cell_length_c 19.8356
_cell_angle_alpha 90.00
_cell_angle_beta 90.00
_cell_angle_gamma 90.00
loop_
_atom_site_label
_atom_site_type_symbol
_atom_site_fract_x
_atom_site_fract_y
_atom_site_fract_z
Nd1 Nd 0.0000 0.0000 0.0000
Ho1 Ho 0.0000 0.0000 0.2511
Ho2 Ho 0.0000 0.0000 0.5000
Tm1 Tm 0.0000 0.5000 0.1270
Tm2 Tm 0.0000 0.5000 0.3757
Tm3 Tm 0.5000 0.5000 0.0000
Tm4 Tm 0.5000 0.5000 0.2516
Tm5 Tm 0.5000 0.5000 0.5000
```

Record 4
This entry pairs a crystal structure of Nd5Ho5Tm with its theoretical XRD peak list. Radiation: a wavelength of 1.5418 Å. Structure: a structure optimized by DFT (GGA-PBE).

Largest 10 diffraction maxima, sorted by position, 2θ from 10° to 90°:
| 2θ (°) | intensity | (hkl) |
| --- | --- | --- |
| 27.3 | 22 | 4 0 -2 |
| 28.4 | 16 | 4 0 1 |
| 29.4 | 19 | 5 1 0 |
| 29.9 | 75 | 0 2 0 |
| 30.5 | 32 | 6 0 0 |
| 33.3 | 100 | 1 1 2 |
| 43.2 | 25 | 6 2 0 |
| 52.0 | 15 | 4 0 -4 |
| 55.2 | 24 | 1 3 2 |
| 61.1 | 16 | 4 2 -4 |

Structural model:
```
data_Nd5Ho5Tm
_chemical_formula_sum 'Nd10 Ho10 Tm2'
_symmetry_space_group_name_H-M 'C 1 2/m 1'
_symmetry_Int_Tables_number 12
_cell_length_a 18.9383
_cell_length_b 5.9871
_cell_length_c 7.0359
_cell_angle_alpha 90.00
_cell_angle_beta 111.76
_cell_angle_gamma 90.00
loop_
_symmetry_equiv_pos_as_xyz
'x,y,z'
'-x,-y,-z'
'-x,y,-z'
'x,-y,z'
'x+1/2,y+1/2,z'
'-x+1/2,-y+1/2,-z'
'-x+1/2,y+1/2,-z'
'x+1/2,-y+1/2,z'
loop_
_atom_site_label
_atom_site_type_symbol
_atom_site_fract_x
_atom_site_fract_y
_atom_site_fract_z
Nd1 Nd 0.0000 0.0000 0.0000
Nd2 Nd 0.1755 0.5000 0.4203
Nd3 Nd 0.1756 0.5000 0.9313
Ho1 Ho 0.0000 0.5000 0.5000
Ho2 Ho 0.1217 0.0000 0.6223
Ho3 Ho 0.1686 0.0000 0.1691
Tm1 Tm 0.0000 0.5000 0.0000
```

Copy entry 2 word for word.
This entry pairs a crystal structure of Nd3Ho2Tm7 with its theoretical XRD peak list. Radiation: a wavelength of 1.5418 Å. Structure: a structure optimized by DFT (GGA-PBE).

Largest 10 diffraction maxima, sorted by position, 2θ from 10° to 90°:
| 2θ (°) | intensity | (hkl) |
| --- | --- | --- |
| 29.9 | 29 | 1 1 1 |
| 31.0 | 100 | 0 0 6 |
| 31.5 | 58 | 1 1 2 |
| 34.1 | 36 | 2 0 3 |
| 35.0 | 41 | 1 1 -4 |
| 38.2 | 16 | 1 1 -5 |
| 50.7 | 20 | 3 1 -1 |
| 52.2 | 13 | 0 2 0 |
| 53.1 | 23 | 2 0 -9 |
| 61.9 | 28 | 0 2 6 |

Structural model:
```
data_Nd3Ho2Tm7
_chemical_formula_sum 'Nd3 Ho2 Tm7'
_symmetry_space_group_name_H-M 'P 1 2/m 1'
_symmetry_Int_Tables_number 10
_cell_length_a 6.2948
_cell_length_b 3.5073
_cell_length_c 17.4078
_cell_angle_alpha 90.00
_cell_angle_beta 96.33
_cell_angle_gamma 90.00
loop_
_symmetry_equiv_pos_as_xyz
'x,y,z'
'-x,-y,-z'
'-x,y,-z'
'x,-y,z'
loop_
_atom_site_label
_atom_site_type_symbol
_atom_site_fract_x
_atom_site_fract_y
_atom_site_fract_z
Nd1 Nd 0.0000 0.0000 0.0000
Nd2 Nd 0.0473 0.5000 0.6581
Ho1 Ho 0.4437 0.0000 0.3254
Tm1 Tm 0.2295 0.5000 0.1652
Tm2 Tm 0.2476 0.0000 0.5002
Tm3 Tm 0.2767 0.0000 0.8345
Tm4 Tm 0.5000 0.5000 0.0000
```

Please write out number 1 again, unchanged.
This entry pairs a crystal structure of Nd2Ho5Tm5 with its theoretical XRD peak list. Radiation: a wavelength of 1.5418 Å. Structure: a structure optimized by DFT (GGA-PBE).

Largest 8 diffraction maxima, sorted by position, 2θ from 10° to 90°:
| 2θ (°) | intensity | (hkl) |
| --- | --- | --- |
| 31.0 | 100 | 3 1 1 |
| 35.9 | 51 | 0 2 0 |
| 51.7 | 36 | 6 0 2 |
| 61.5 | 43 | 3 3 1 |
| 64.6 | 12 | 6 2 2 |
| 76.2 | 6 | 0 4 0 |
| 84.5 | 18 | 3 3 5 |
| 87.2 | 17 | 0 4 4 |

Structural model:
```
data_Nd2Ho5Tm5
_chemical_formula_sum 'Nd4 Ho10 Tm10'
_symmetry_space_group_name_H-M 'C 1 2/m 1'
_symmetry_Int_Tables_number 12
_cell_length_a 14.9998
_cell_length_b 4.9961
_cell_length_c 11.1756
_cell_angle_alpha 90.00
_cell_angle_beta 116.55
_cell_angle_gamma 90.00
loop_
_symmetry_equiv_pos_as_xyz
'x,y,z'
'-x,-y,-z'
'-x,y,-z'
'x,-y,z'
'x+1/2,y+1/2,z'
'-x+1/2,-y+1/2,-z'
'-x+1/2,y+1/2,-z'
'x+1/2,-y+1/2,z'
loop_
_atom_site_label
_atom_site_type_symbol
_atom_site_fract_x
_atom_site_fract_y
_atom_site_fract_z
Nd1 Nd 0.0830 0.0000 0.2488
Ho1 Ho 0.0000 0.5000 0.0000
Ho2 Ho 0.0848 0.5000 0.7505
Ho3 Ho 0.1662 0.5000 0.5001
Tm1 Tm 0.0000 0.0000 0.5000
Tm2 Tm 0.1681 0.0000 0.0001
Tm3 Tm 0.2486 0.0000 0.7498
```